This entry pairs a crystal structure of Ba2UAs2O2 with its calculated PXRD pattern. Radiation: λ = 1.5418 Å (Cu Kα). Structure: a crystal structure in Alexandria, relaxed with PBE.

Crystal structure
```
data_Ba2UAs2O2
_chemical_formula_sum 'Ba4 U2 As4 O4'
_cell_length_a 4.531
_cell_length_b 4.531
_cell_length_c 16.792
_cell_angle_alpha 90.00
_cell_angle_beta 90.00
_cell_angle_gamma 90.00
_symmetry_space_group_name_H-M 'I 4/m m m'
_symmetry_Int_Tables_number 139
_symmetry_space_group_name_Hall '-I 4 2'
loop_
_atom_site_label
_atom_site_type_symbol
_atom_site_fract_x
_atom_site_fract_y
_atom_site_fract_z
Ba1 Ba 0.000 0.000 0.138
U1 U 0.000 0.000 0.500
As1 As 0.000 0.000 0.338
O1 O 0.000 0.500 0.000
```

Principal peaks in the range 5 to 70 degrees two-theta, by intensity:
2θ 27.84, d = 3.204 Å, intensity 1000, (1 1 0)
2θ 25.29, d = 3.522 Å, intensity 597, (1 0 3)
2θ 33.20, d = 2.698 Å, intensity 492, (1 0 5)
2θ 39.79, d = 2.266 Å, intensity 476, (2 0 0)
2θ 42.91, d = 2.108 Å, intensity 373, (1 1 6)
2θ 51.93, d = 1.761 Å, intensity 271, (2 0 6)